Record 1
For AgPtRh2, a structure optimized by DFT (GGA-PBE) gives the computed X-ray diffraction stick pattern in this record (Cu Ka).

Crystal structure
```
data_AgPtRh2
_symmetry_space_group_name_H-M 'P 4 m m'
_symmetry_Int_Tables_number 99
_symmetry_space_group_name_Hall 'P 4 -2'
_cell_length_a 2.7728
_cell_length_b 2.7728
_cell_length_c 8.0265
_cell_angle_alpha 90.00
_cell_angle_beta 90.00
_cell_angle_gamma 90.00
loop_
_atom_site_label
_atom_site_fract_x
_atom_site_fract_y
_atom_site_fract_z
Ag1 0.0000 0.0000 0.0000
Pt1 0.5000 0.5000 0.2697
Rh1 0.0000 0.0000 0.5120
Rh2 0.5000 0.5000 0.7338
```

Principal peaks in the range 10° ≤ 2θ ≤ 90°, low angle first:
hkl 0 0 1, d = 8.026 Å, intensity 12; hkl 0 0 3, d = 2.675 Å, intensity 3; hkl 1 0 1, d = 2.621 Å, intensity 6; hkl 1 0 2, d = 2.281 Å, intensity 100; hkl 0 0 4, d = 2.007 Å, intensity 16; hkl 1 1 0, d = 1.961 Å, intensity 33; hkl 1 1 4, d = 1.402 Å, intensity 19; hkl 1 0 5, d = 1.389 Å, intensity 3; hkl 2 0 0, d = 1.386 Å, intensity 10; hkl 1 0 6, d = 1.205 Å, intensity 10; hkl 2 1 2, d = 1.185 Å, intensity 24; hkl 2 0 4, d = 1.141 Å, intensity 10



Record 2
For ScAgPt2, a structure optimized by DFT (GGA-PBE) gives the computed X-ray diffraction stick pattern in this record (Cu Ka).

Crystal structure
```
data_ScAgPt2
_symmetry_space_group_name_H-M 'P 4/m m m'
_symmetry_Int_Tables_number 123
_symmetry_space_group_name_Hall '-P 4 2'
_cell_length_a 3.4246
_cell_length_b 3.4246
_cell_length_c 5.8564
_cell_angle_alpha 90.00
_cell_angle_beta 90.00
_cell_angle_gamma 90.00
loop_
_atom_site_label
_atom_site_fract_x
_atom_site_fract_y
_atom_site_fract_z
Sc1 0.0000 0.0000 0.0000
Ag1 0.0000 0.0000 0.5000
Pt1 0.5000 0.5000 0.2451
```

Principal peaks in the range 10° ≤ 2θ ≤ 90°, low angle first:
hkl 1 0 0, d = 3.425 Å, intensity 27; hkl 0 0 2, d = 2.928 Å, intensity 9; hkl 1 1 0, d = 2.422 Å, intensity 64; hkl 1 0 2, d = 2.226 Å, intensity 100; hkl 1 1 2, d = 1.866 Å, intensity 11; hkl 2 0 0, d = 1.712 Å, intensity 22; hkl 2 1 0, d = 1.532 Å, intensity 6; hkl 0 0 4, d = 1.464 Å, intensity 7; hkl 2 1 2, d = 1.357 Å, intensity 41; hkl 1 1 4, d = 1.253 Å, intensity 16; hkl 2 2 0, d = 1.211 Å, intensity 7; hkl 2 0 4, d = 1.113 Å, intensity 11



Record 3
For ScAgPt2, a structure optimized by DFT (GGA-PBE) gives the computed X-ray diffraction stick pattern in this record (Cu Ka).

Crystal structure
```
data_ScAgPt2
_symmetry_space_group_name_H-M 'P 4/m m m'
_symmetry_Int_Tables_number 123
_symmetry_space_group_name_Hall '-P 4 2'
_cell_length_a 4.1406
_cell_length_b 4.1406
_cell_length_c 3.8914
_cell_angle_alpha 90.00
_cell_angle_beta 90.00
_cell_angle_gamma 90.00
loop_
_atom_site_label
_atom_site_fract_x
_atom_site_fract_y
_atom_site_fract_z
Sc1 0.0000 0.0000 0.0000
Ag1 0.5000 0.5000 0.0000
Pt1 0.0000 0.5000 0.5000
```

Principal peaks in the range 10° ≤ 2θ ≤ 90°, low angle first:
hkl 0 0 1, d = 3.891 Å, intensity 16; hkl 1 1 0, d = 2.928 Å, intensity 16; hkl 1 1 1, d = 2.340 Å, intensity 100; hkl 2 0 0, d = 2.070 Å, intensity 35; hkl 0 0 2, d = 1.946 Å, intensity 14; hkl 2 0 1, d = 1.828 Å, intensity 9; hkl 1 1 2, d = 1.620 Å, intensity 6; hkl 2 2 0, d = 1.464 Å, intensity 11; hkl 2 0 2, d = 1.418 Å, intensity 20; hkl 3 1 1, d = 1.241 Å, intensity 26; hkl 1 1 3, d = 1.186 Å, intensity 11; hkl 2 2 2, d = 1.170 Å, intensity 11